Starting from DFT lattice parameters and positions (PBE), the X-ray powder pattern of TlGaPdPtSe was calculated for Cu Kα X-rays.

Principal peaks in the range 10° ≤ 2θ ≤ 80°, low angle first:
(1 0 0), 4.218 Å, 2θ = 21.06°, intensity 67
(1 -1 1), 2.893 Å, 2θ = 30.91°, intensity 81
(-1 1 1), 2.847 Å, 2θ = 31.42°, intensity 76
(1 1 0), 2.641 Å, 2θ = 33.95°, intensity 100
(0 1 -2), 2.619 Å, 2θ = 34.24°, intensity 59
(1 0 -2), 2.581 Å, 2θ = 34.76°, intensity 64
(1 1 -2), 2.448 Å, 2θ = 36.71°, intensity 44
(0 2 -1), 2.273 Å, 2θ = 39.66°, intensity 79
(2 0 -1), 2.240 Å, 2θ = 40.26°, intensity 75
(-1 2 1), 1.840 Å, 2θ = 49.54°, intensity 44

Structure:
```
5
Lattice="4.558 0.000 0.000 -0.776 4.552 0.000 -1.550 -1.998 4.998" Properties=species:S:1:pos:R:3 pbc="T T T"
Tl 0.000 0.000 0.000
Ga 0.407 0.360 3.616
Pd -0.418 2.574 2.583
Pt 2.695 -0.068 2.520
Se 1.864 2.148 1.444
```